1.
Diffraction record for Pm3Ho5Sc2. The X-ray diffraction stick pattern is calculated, not measured: it uses DFT lattice parameters and positions (PBE) and Cu Kα (weighted mean of Kα1 and Kα2).
Intensities are scaled so that the largest is 100.

Largest 10 diffraction maxima, by angle, 2θ = 10–90°:
(hkl)	2θ (°)	intensity
2 0 1	31.22	100
3 -3 1	36.18	34
2 2 -2	36.24	16
2 -2 4	52.09	18
-4 4 2	52.17	18
1 1 4	61.93	14
5 -3 2	62.05	21
-6 4 1	62.11	7
2 -6 0	65.09	9
-5 7 2	85.23	7

Crystal structure
```
data_Pm3Ho5Sc2
_space_group_name_H-M_alt 'P 1'
_space_group_IT_number 1
_cell_length_a 9.271
_cell_length_b 9.279
_cell_length_c 9.294
_cell_angle_alpha 106.56
_cell_angle_beta 106.56
_cell_angle_gamma 115.37
loop_
_space_group_symop_operation_xyz
'x,y,z'
loop_
_atom_site_label
_atom_site_type_symbol
_atom_site_fract_x
_atom_site_fract_y
_atom_site_fract_z
Pm1 Pm 0.080 0.029 0.351
Pm2 Pm 0.273 0.425 0.952
Pm3 Pm 0.323 0.772 0.849
Pm4 Pm 0.677 0.228 0.151
Pm5 Pm 0.727 0.575 0.048
Pm6 Pm 0.920 0.971 0.649
Ho1 Ho 0.024 0.675 0.448
Ho2 Ho 0.130 0.381 0.251
Ho3 Ho 0.227 0.075 0.053
Ho4 Ho 0.380 0.127 0.749
Ho5 Ho 0.473 0.822 0.547
Ho6 Ho 0.527 0.178 0.453
Ho7 Ho 0.620 0.873 0.251
Ho8 Ho 0.773 0.925 0.947
Ho9 Ho 0.870 0.619 0.749
Ho10 Ho 0.976 0.325 0.552
Sc1 Sc 0.173 0.723 0.149
Sc2 Sc 0.428 0.477 0.645
Sc3 Sc 0.572 0.523 0.355
Sc4 Sc 0.827 0.277 0.851
```

=====

2.
Diffraction record for Ba2Sr7I18. The X-ray diffraction stick pattern is calculated, not measured: it uses DFT lattice parameters and positions (PBE) and Cu Kα (weighted mean of Kα1 and Kα2).
Intensities are scaled so that the largest is 100.

Largest 10 diffraction maxima, by angle, 2θ = 10–90°:
(hkl)	2θ (°)	intensity
2 1 -1	24.65	100
2 -2 0	24.91	33
3 0 2	25.56	20
1 3 2	25.71	83
0 3 -1	26.48	92
3 0 -1	32.22	31
0 4 2	33.78	51
0 2 -4	39.02	23
3 2 5	39.23	23
3 4 1	39.37	23

Crystal structure
```
data_Ba2Sr7I18
_space_group_name_H-M_alt 'P 1'
_space_group_IT_number 1
_cell_length_a 10.707
_cell_length_b 11.355
_cell_length_c 12.221
_cell_angle_alpha 79.13
_cell_angle_beta 64.25
_cell_angle_gamma 83.26
loop_
_space_group_symop_operation_xyz
'x,y,z'
loop_
_atom_site_label
_atom_site_type_symbol
_atom_site_fract_x
_atom_site_fract_y
_atom_site_fract_z
Ba1 Ba 0.017 0.366 0.294
Ba2 Ba 0.983 0.634 0.706
Sr1 Sr 0.168 0.178 0.628
Sr2 Sr 0.327 0.761 0.890
Sr3 Sr 0.391 0.895 0.203
Sr4 Sr 0.500 0.500 0.500
Sr5 Sr 0.609 0.105 0.797
Sr6 Sr 0.673 0.239 0.110
Sr7 Sr 0.832 0.822 0.372
I1 I 0.041 0.673 0.144
I2 I 0.092 0.833 0.435
I3 I 0.120 0.895 0.758
I4 I 0.207 0.463 0.473
I5 I 0.274 0.544 0.774
I6 I 0.293 0.021 0.984
I7 I 0.334 0.165 0.304
I8 I 0.467 0.657 0.078
I9 I 0.488 0.205 0.586
I10 I 0.512 0.795 0.414
I11 I 0.533 0.343 0.922
I12 I 0.666 0.835 0.696
I13 I 0.707 0.979 0.016
I14 I 0.726 0.456 0.226
I15 I 0.793 0.537 0.527
I16 I 0.880 0.105 0.242
I17 I 0.908 0.167 0.565
I18 I 0.959 0.327 0.856
```

=====

3.
Diffraction record for TeH2I5. The X-ray diffraction stick pattern is calculated, not measured: it uses DFT lattice parameters and positions (PBE) and Cu Kα (weighted mean of Kα1 and Kα2).
Intensities are scaled so that the largest is 100.

Largest 10 diffraction maxima, by angle, 2θ = 10–90°:
(hkl)	2θ (°)	intensity
0 1 -1	14.85	24
0 1 1	16.21	21
-1 1 1	20.43	100
1 1 1	25.78	46
0 2 -2	29.95	38
0 2 2	32.74	25
2 0 0	33.48	21
1 1 -3	34.77	22
1 -3 1	38.22	20
1 3 -1	38.87	16

Crystal structure
```
data_TeH2I5
_space_group_name_H-M_alt 'P 1'
_space_group_IT_number 1
_cell_length_a 5.527
_cell_length_b 8.035
_cell_length_c 8.406
_cell_angle_alpha 93.78
_cell_angle_beta 103.25
_cell_angle_gamma 94.60
loop_
_space_group_symop_operation_xyz
'x,y,z'
loop_
_atom_site_label
_atom_site_type_symbol
_atom_site_fract_x
_atom_site_fract_y
_atom_site_fract_z
Te1 Te 0.000 0.000 0.000
H1 H 0.344 0.821 0.614
H2 H 0.780 0.097 0.074
I1 I 0.397 0.211 0.207
I2 I 0.442 0.737 0.787
I3 I 0.850 0.456 0.450
I4 I 0.929 0.205 0.711
I5 I 0.949 0.721 0.219
```

=====

4.
Diffraction record for PmCuHg2. The X-ray diffraction stick pattern is calculated, not measured: it uses DFT lattice parameters and positions (PBE) and Cu Kα (weighted mean of Kα1 and Kα2).
Intensities are scaled so that the largest is 100.

Largest 10 diffraction maxima, by angle, 2θ = 10–90°:
(hkl)	2θ (°)	intensity
1 1 1	21.71	4
2 0 0	25.12	11
2 2 0	35.82	100
2 2 2	44.25	3
4 0 0	51.55	18
4 2 0	58.18	5
4 2 2	64.36	36
4 4 0	75.90	11
6 0 0	81.43	3
6 2 0	86.88	17

Crystal structure
```
data_PmCuHg2
_space_group_name_H-M_alt 'P 1'
_space_group_IT_number 1
_cell_length_a 7.091
_cell_length_b 7.091
_cell_length_c 7.091
_cell_angle_alpha 90.00
_cell_angle_beta 90.00
_cell_angle_gamma 90.00
loop_
_space_group_symop_operation_xyz
'x,y,z'
loop_
_atom_site_label
_atom_site_type_symbol
_atom_site_fract_x
_atom_site_fract_y
_atom_site_fract_z
Pm1 Pm 0.000 0.000 0.000
Pm2 Pm 0.000 0.500 0.500
Pm3 Pm 0.500 0.000 0.500
Pm4 Pm 0.500 0.500 0.000
Cu1 Cu 0.000 0.000 0.500
Cu2 Cu 0.000 0.500 0.000
Cu3 Cu 0.500 0.000 0.000
Cu4 Cu 0.500 0.500 0.500
Hg1 Hg 0.250 0.250 0.250
Hg2 Hg 0.250 0.250 0.750
Hg3 Hg 0.250 0.750 0.250
Hg4 Hg 0.250 0.750 0.750
Hg5 Hg 0.750 0.250 0.250
Hg6 Hg 0.750 0.250 0.750
Hg7 Hg 0.750 0.750 0.250
Hg8 Hg 0.750 0.750 0.750
```